Record 1
# SrTl2SnPb
Calculated powder XRD pattern, Cu Kα (λ = 1.5418 Å). Input: the GGA-PBE geometry in Alexandria.
Neutral-atom scattering factors, no anomalous dispersion.

Cell and atoms:
Lattice parameters (Å, degrees): 3.861 15.412 10.991 90.00 90.00 90.00
Space group Cmcm (No. 63)
Inequivalent atoms, fractional coordinates:
Sr: 0.000 0.146 0.250 x4
Tl: 0.000 0.193 0.597 x8
Sn: 0.000 0.453 0.250 x4
Pb: 0.000 0.000 0.000 x4

Most intense lines, 2θ = 10–80°, low angle first:
2θ (°)	d [Å]	intensity	h k l
23.8	3.745	44	1 1 0
28.9	3.092	100	1 1 2
33.8	2.655	67	0 4 3
34.2	2.619	97	1 1 3
34.7	2.588	56	0 2 4
37.3	2.409	58	1 5 0

Record 2
# SrTlSnPb
Calculated powder XRD pattern, Cu Kα (λ = 1.5418 Å). Input: the GGA-PBE geometry in Alexandria.
Neutral-atom scattering factors, no anomalous dispersion.

Cell and atoms:
Lattice parameters (Å, degrees): 4.914 4.985 5.023 90.00 90.00 90.00
Space group Pmmm (No. 47)
Inequivalent atoms, fractional coordinates:
Sr: 0.000 0.000 0.000 x1
Tl: 0.500 0.500 0.000 x1
Sn: 0.500 0.000 0.500 x1
Pb: 0.000 0.500 0.500 x1

Most intense lines, 2θ = 10–80°, low angle first:
2θ (°)	d [Å]	intensity	h k l
31.1	2.871	100	1 1 1
35.8	2.511	17	0 0 2
36.0	2.493	17	0 2 0
36.6	2.457	16	2 0 0
61.4	1.510	15	1 1 3
61.8	1.502	15	1 3 1

Record 3
# Tb8SnPb5
Calculated powder XRD pattern, Cu Kα (λ = 1.5418 Å). Input: the GGA-PBE geometry in Alexandria.
Neutral-atom scattering factors, no anomalous dispersion.

Cell and atoms:
Lattice parameters (Å, degrees): 9.422 9.422 9.419 90.00 90.00 90.00
Space group I-4 (No. 82)
Inequivalent atoms, fractional coordinates:
Tb: 0.070 0.179 0.197 x8
Tb: 0.070 0.318 0.555 x8
Sn: 0.000 0.000 0.500 x2
Pb: 0.000 0.500 0.250 x2
Pb: 0.125 0.250 0.876 x8

Most intense lines, 2θ = 10–80°, low angle first:
2θ (°)	d [Å]	intensity	h k l
30.0	2.979	100	3 1 0
35.7	2.518	64	2 1 3
42.9	2.107	17	4 0 2
49.3	1.848	21	1 3 4
60.6	1.528	29	6 1 1
73.9	1.282	19	2 7 1

Record 4
# Tb3SnPb3
Calculated powder XRD pattern, Cu Kα (λ = 1.5418 Å). Input: the GGA-PBE geometry in Alexandria.
Neutral-atom scattering factors, no anomalous dispersion.

Cell and atoms:
Lattice parameters (Å, degrees): 8.9818 8.9818 5.7370 90.00 90.00 120.00
Space group P6_3/m (No. 176)
Inequivalent atoms, fractional coordinates:
Tb: 0.0910 0.4508 0.2500 x6
Sn: 0.3333 0.6667 0.7500 x2
Pb: 0.0524 0.2534 0.7500 x6

Most intense lines, 2θ = 10–80°, low angle first:
2θ (°)	d [Å]	intensity	h k l
30.4	2.940	23	2 1 0
31.2	2.869	30	0 0 2
34.3	2.616	100	2 1 1
44.1	2.053	17	2 1 2
57.5	1.603	23	2 1 3
63.7	1.461	20	1 4 2

Record 5
# TcSn8Pb2
Calculated powder XRD pattern, Cu Kα (λ = 1.5418 Å). Input: the GGA-PBE geometry in Alexandria.
Neutral-atom scattering factors, no anomalous dispersion.

Cell and atoms:
Lattice parameters (Å, degrees): 4.430 7.052 10.608 98.11 92.31 107.19
Space group P-1 (No. 2)
Inequivalent atoms, fractional coordinates:
Tc: 0.000 0.000 0.000 x1
Sn: 0.075 0.140 0.265 x2
Sn: 0.120 0.316 0.856 x2
Sn: 0.280 0.572 0.609 x2
Sn: 0.387 0.762 0.942 x2
Pb: 0.453 0.818 0.371 x2

Most intense lines, 2θ = 10–80°, low angle first:
2θ (°)	d [Å]	intensity	h k l
27.1	3.291	67	1 -1 2
30.7	2.913	75	-1 2 1
31.8	2.810	66	1 0 -3
34.8	2.579	100	-1 2 2
35.2	2.547	86	1 1 2
40.8	2.213	99	2 -1 0

Record 6
# Sn2Te4Pb
Calculated powder XRD pattern, Cu Kα (λ = 1.5418 Å). Input: the GGA-PBE geometry in Alexandria.
Neutral-atom scattering factors, no anomalous dispersion.

Cell and atoms:
Lattice parameters (Å, degrees): 4.309 7.434 8.803 114.31 104.11 90.13
Space group P-1 (No. 2)
Inequivalent atoms, fractional coordinates:
Sn: 0.249 0.229 0.497 x2
Te: 0.134 0.466 0.269 x2
Te: 0.371 0.029 0.743 x2
Pb: 0.500 0.500 0.000 x1

Most intense lines, 2θ = 10–80°, low angle first:
2θ (°)	d [Å]	intensity	h k l
26.5	3.365	67	1 1 0
26.6	3.350	38	1 1 -2
33.3	2.691	100	-1 1 2
33.5	2.675	51	1 -1 2
33.6	2.663	35	0 2 -3
42.0	2.153	60	2 0 -1

Record 7
# SnTe6Pb4
Calculated powder XRD pattern, Cu Kα (λ = 1.5418 Å). Input: the GGA-PBE geometry in Alexandria.
Neutral-atom scattering factors, no anomalous dispersion.

Cell and atoms:
Lattice parameters (Å, degrees): 16.653 8.306 14.776 90.00 116.37 90.00
Space group Cc (No. 9)
Inequivalent atoms, fractional coordinates:
Sn: 0.000 0.217 0.000 x4
Te: 0.112 0.211 0.371 x4
Te: 0.182 0.240 0.036 x4
Te: 0.246 0.237 0.749 x4
Te: 0.398 0.210 0.296 x4
Te: 0.431 0.449 0.053 x4
Te: 0.490 0.022 0.614 x4
Pb: 0.073 0.131 0.776 x4
Pb: 0.207 0.392 0.245 x4
Pb: 0.270 0.099 0.569 x4
Pb: 0.447 0.170 0.910 x4

Most intense lines, 2θ = 10–80°, low angle first:
2θ (°)	d [Å]	intensity	h k l
20.0	4.438	100	3 1 -2
21.5	4.126	81	4 0 -2
22.4	3.963	63	0 2 1
25.3	3.518	77	2 2 -2
26.9	3.315	62	0 0 4
35.3	2.540	48	5 1 1

Record 8
# SnTe5Pb4
Calculated powder XRD pattern, Cu Kα (λ = 1.5418 Å). Input: the GGA-PBE geometry in Alexandria.
Neutral-atom scattering factors, no anomalous dispersion.

Cell and atoms:
Lattice parameters (Å, degrees): 4.6061 4.6061 56.6727 90.00 90.00 120.00
Space group R-3m (No. 166, hexagonal axes)
Inequivalent atoms, fractional coordinates:
Sn: 0.0000 0.0000 0.0000 x3
Te: 0.0000 0.0000 0.0993 x6
Te: 0.0000 0.0000 0.3015 x6
Te: 0.0000 0.0000 0.5000 x3
Pb: 0.0000 0.0000 0.2003 x6
Pb: 0.0000 0.0000 0.3990 x6

Most intense lines, 2θ = 10–80°, low angle first:
2θ (°)	d [Å]	intensity	h k l
27.3	3.262	100	1 0 10
39.0	2.310	39	0 1 20
39.1	2.303	39	1 1 0
48.4	1.881	21	0 2 10
63.9	1.457	19	2 1 10
70.8	1.331	21	3 0 0

Record 9
# Sn5Te7Pb
Calculated powder XRD pattern, Cu Kα (λ = 1.5418 Å). Input: the GGA-PBE geometry in Alexandria.
Neutral-atom scattering factors, no anomalous dispersion.

Cell and atoms:
Lattice parameters (Å, degrees): 4.484 14.890 25.967 90.00 90.00 90.00
Space group Cmc2_1 (No. 36)
Inequivalent atoms, fractional coordinates:
Sn: 0.000 0.006 0.000 x4
Sn: 0.000 0.269 0.580 x4
Sn: 0.000 0.286 0.924 x4
Sn: 0.000 0.431 0.356 x4
Sn: 0.000 0.449 0.148 x4
Te: 0.000 0.081 0.393 x4
Te: 0.000 0.102 0.118 x4
Te: 0.000 0.177 0.684 x4
Te: 0.000 0.196 0.820 x4
Te: 0.000 0.354 0.468 x4
Te: 0.000 0.368 0.037 x4
Te: 0.000 0.472 0.753 x4
Pb: 0.000 0.171 0.237 x4

Most intense lines, 2θ = 10–80°, low angle first:
2θ (°)	d [Å]	intensity	h k l
26.8	3.321	55	0 2 7
27.0	3.301	32	1 3 1
27.7	3.223	100	1 3 2
28.7	3.106	46	1 3 3
37.6	2.395	36	1 1 9
40.3	2.240	82	2 0 0

Record 10
# Tl8SnTe6Pb
Calculated powder XRD pattern, Cu Kα (λ = 1.5418 Å). Input: the GGA-PBE geometry in Alexandria.
Neutral-atom scattering factors, no anomalous dispersion.

Cell and atoms:
Lattice parameters (Å, degrees): 8.940 8.940 13.350 90.00 90.00 90.00
Space group I4/m (No. 87)
Inequivalent atoms, fractional coordinates:
Tl: 0.144 0.648 0.159 x16
Sn: 0.000 0.000 0.000 x2
Te: 0.000 0.000 0.247 x4
Te: 0.162 0.333 0.000 x8
Pb: 0.000 0.000 0.500 x2

Most intense lines, 2θ = 10–80°, low angle first:
2θ (°)	d [Å]	intensity	h k l
30.0	2.974	100	2 1 3
30.3	2.951	14	1 1 4
31.7	2.827	52	3 1 0
46.6	1.949	12	1 4 3
52.3	1.748	12	3 1 6
59.4	1.555	21	5 2 3

Record 11
# TlSnTe4Pb2
Calculated powder XRD pattern, Cu Kα (λ = 1.5418 Å). Input: the GGA-PBE geometry in Alexandria.
Neutral-atom scattering factors, no anomalous dispersion.

Cell and atoms:
Lattice parameters (Å, degrees): 7.962 4.565 7.972 90.00 109.42 90.00
Space group P2/m (No. 10)
Inequivalent atoms, fractional coordinates:
Tl: 0.000 0.000 0.000 x1
Sn: 0.500 0.500 0.000 x1
Te: 0.256 0.500 0.249 x2
Te: 0.258 0.000 0.755 x2
Pb: 0.000 0.500 0.500 x1
Pb: 0.500 0.000 0.500 x1

Most intense lines, 2θ = 10–80°, low angle first:
2θ (°)	d [Å]	intensity	h k l
27.5	3.245	100	1 1 1
39.2	2.298	39	1 1 -3
39.3	2.295	26	3 1 -1
48.5	1.879	14	0 0 4
48.7	1.868	14	2 2 -2
64.1	1.454	19	3 1 -5

Record 12
# Th4SnPb
Calculated powder XRD pattern, Cu Kα (λ = 1.5418 Å). Input: the GGA-PBE geometry in Alexandria.
Neutral-atom scattering factors, no anomalous dispersion.

Cell and atoms:
Lattice parameters (Å, degrees): 7.721 7.721 6.359 90.00 90.00 90.00
Space group P4/mcc (No. 124)
Inequivalent atoms, fractional coordinates:
Th: 0.152 0.342 0.000 x8
Sn: 0.000 0.000 0.250 x2
Pb: 0.500 0.500 0.250 x2

Most intense lines, 2θ = 10–80°, low angle first:
2θ (°)	d [Å]	intensity	h k l
29.4	3.035	100	2 1 1
32.6	2.748	30	1 1 2
36.6	2.454	26	2 0 2
36.8	2.442	40	3 1 0
50.5	1.807	23	2 1 3
58.4	1.580	22	3 3 2

Record 13
# ThTlSnPb
Calculated powder XRD pattern, Cu Kα (λ = 1.5418 Å). Input: the GGA-PBE geometry in Alexandria.
Neutral-atom scattering factors, no anomalous dispersion.

Cell and atoms:
Lattice parameters (Å, degrees): 4.710 4.862 4.937 90.00 90.00 90.00
Space group Pmmm (No. 47)
Inequivalent atoms, fractional coordinates:
Th: 0.000 0.000 0.000 x1
Tl: 0.000 0.500 0.500 x1
Sn: 0.500 0.500 0.000 x1
Pb: 0.500 0.000 0.500 x1

Most intense lines, 2θ = 10–80°, low angle first:
2θ (°)	d [Å]	intensity	h k l
32.1	2.791	100	1 1 1
36.4	2.469	18	0 0 2
37.0	2.431	17	0 2 0
38.2	2.355	16	2 0 0
62.8	1.480	15	1 1 3
63.6	1.464	15	1 3 1